Simulated XRD peak list of Pm7Dy3Sc for Cu Kα (weighted mean of Kα1 and Kα2), from a DFT-relaxed cell (PBE, Alexandria).

Most intense lines, 10° ≤ 2θ ≤ 90°, by angle:
- hkl 4 0 -4, 3.075 Å, 29.04°, intensity 27
- hkl 2 2 -2, 3.066 Å, 29.13°, intensity 27
- hkl 0 2 2, 2.993 Å, 29.85°, intensity 68
- hkl 6 0 0, 2.835 Å, 31.55°, intensity 87
- hkl 0 0 4, 2.809 Å, 31.86°, intensity 66
- hkl 4 2 -2, 2.787 Å, 32.12°, intensity 100
- hkl 6 0 -4, 2.705 Å, 33.11°, intensity 55
- hkl 2 2 2, 2.630 Å, 34.09°, intensity 80
- hkl 6 2 -2, 2.365 Å, 38.05°, intensity 40
- hkl 4 2 -6, 1.808 Å, 50.48°, intensity 43

Crystal structure
Cell: 19.1145 7.0718 12.6244 Å, 90.00 117.13 90.00°
Space group C2/c (No. 15)
Unique sites:
Pm (0.0000, 0.1745, 0.2500)
Pm (0.1558, 0.4986, 0.7734)
Pm (0.1638, 0.2413, 0.0223)
Pm (0.1667, 0.2467, 0.5270)
Dy (0.0000, 0.5000, 0.0000)
Dy (0.1732, 0.0006, 0.7709)
Sc (0.0000, 0.0000, 0.0000)

Simulated XRD peak list of Pm7DySc2 for Cu Kα (weighted mean of Kα1 and Kα2), from a DFT-relaxed cell (PBE, Alexandria).

Most intense lines, 10° ≤ 2θ ≤ 90°, by angle:
- hkl 1 1 -1, 2.973 Å, 30.06°, intensity 86
- hkl 0 1 -4, 2.866 Å, 31.21°, intensity 100
- hkl -1 1 2, 2.816 Å, 31.78°, intensity 66
- hkl 1 -2 2, 2.803 Å, 31.93°, intensity 56
- hkl 0 2 2, 2.793 Å, 32.05°, intensity 85
- hkl 0 3 -2, 2.762 Å, 32.41°, intensity 93
- hkl -1 2 1, 2.710 Å, 33.05°, intensity 40
- hkl 1 0 3, 2.407 Å, 37.36°, intensity 48
- hkl 1 -4 0, 1.908 Å, 47.67°, intensity 32
- hkl 2 -2 4, 1.502 Å, 61.76°, intensity 34

Crystal structure
Cell: 3.5273 8.5879 11.4641 Å, 108.76 90.05 101.85°
Space group P-1 (No. 2)
Unique sites:
Pm (0.0000, 0.0000, 0.0000)
Pm (0.1074, 0.2165, 0.3034)
Pm (0.2880, 0.5743, 0.8753)
Pm (0.4118, 0.8248, 0.2114)
Dy (0.0000, 0.0000, 0.5000)
Sc (0.3079, 0.6169, 0.4269)

Simulated XRD peak list of Pm2Dy12Sc for Cu Kα (weighted mean of Kα1 and Kα2), from a DFT-relaxed cell (PBE, Alexandria).

Most intense lines, 10° ≤ 2θ ≤ 90°, by angle:
- hkl 0 0 8, 3.032 Å, 29.46°, intensity 28
- hkl 0 2 7, 2.952 Å, 30.28°, intensity 63
- hkl 2 0 -6, 2.825 Å, 31.68°, intensity 33
- hkl 0 4 0, 2.821 Å, 31.72°, intensity 87
- hkl 2 2 2, 2.793 Å, 32.04°, intensity 100
- hkl 2 2 -4, 2.782 Å, 32.17°, intensity 66
- hkl 0 2 8, 2.671 Å, 33.56°, intensity 52
- hkl 2 0 9, 1.997 Å, 45.42°, intensity 32
- hkl 2 6 2, 1.623 Å, 56.73°, intensity 36
- hkl 4 4 -2, 1.485 Å, 62.55°, intensity 21

Crystal structure
Cell: 6.9857 11.2854 24.4728 Å, 90.00 97.79 90.00°
Space group C2/m (No. 12)
Unique sites:
Pm (0.0170, 0.0000, 0.2771)
Pm (0.0177, 0.5000, 0.2719)
Dy (0.0692, 0.2326, 0.9336)
Dy (0.0986, 0.2433, 0.4443)
Dy (0.1585, 0.5000, 0.1131)
Dy (0.1587, 0.5000, 0.5799)
Dy (0.1655, 0.0000, 0.5680)
Dy (0.1888, 0.0000, 0.1451)
Dy (0.2078, 0.2491, 0.6715)
Dy (0.2416, 0.2739, 0.1959)
Sc (0.2472, 0.0000, 0.0149)

Simulated XRD peak list of PmDy6Sc6 for Cu Kα (weighted mean of Kα1 and Kα2), from a DFT-relaxed cell (PBE, Alexandria).

Most intense lines, 10° ≤ 2θ ≤ 90°, by angle:
- hkl 0 2 0, 5.377 Å, 16.49°, intensity 26
- hkl 1 0 1, 3.247 Å, 27.47°, intensity 100
- hkl 2 0 -1, 3.155 Å, 28.29°, intensity 52
- hkl 1 3 -1, 3.006 Å, 29.72°, intensity 63
- hkl 1 2 1, 2.780 Å, 32.20°, intensity 67
- hkl 2 2 -1, 2.721 Å, 32.92°, intensity 39
- hkl 2 2 0, 2.454 Å, 36.62°, intensity 31
- hkl 1 3 1, 2.407 Å, 37.37°, intensity 26
- hkl 0 6 0, 1.792 Å, 50.97°, intensity 22
- hkl 1 6 1, 1.569 Å, 58.85°, intensity 30

Crystal structure
Cell: 6.3092 10.7534 6.4975 Å, 90.00 119.04 90.00°
Space group P2/m (No. 10)
Unique sites:
Pm (0.0000, 0.0000, 0.0000)
Dy (0.0000, 0.3415, 0.0000)
Dy (0.3106, 0.0000, 0.6207)
Dy (0.3555, 0.5000, 0.7127)
Sc (0.0000, 0.2554, 0.5000)
Sc (0.5000, 0.2183, 0.0000)
Sc (0.5000, 0.2559, 0.5000)

Simulated XRD peak list of Pm2Dy15Sc2 for Cu Kα (weighted mean of Kα1 and Kα2), from a DFT-relaxed cell (PBE, Alexandria).

Most intense lines, 10° ≤ 2θ ≤ 90°, by angle:
- hkl 1 1 0, 5.569 Å, 15.92°, intensity 24
- hkl 0 2 4, 3.220 Å, 27.70°, intensity 25
- hkl 0 0 6, 2.891 Å, 30.93°, intensity 24
- hkl 0 3 3, 2.812 Å, 31.83°, intensity 100
- hkl 2 2 0, 2.784 Å, 32.15°, intensity 31
- hkl 2 2 3, 2.509 Å, 35.79°, intensity 47
- hkl 3 3 3, 1.767 Å, 51.72°, intensity 11
- hkl 0 3 9, 1.653 Å, 55.61°, intensity 11
- hkl 0 4 8, 1.613 Å, 57.10°, intensity 17
- hkl 6 0 0, 1.608 Å, 57.31°, intensity 15

Crystal structure
Cell: 11.1372 11.1372 17.3472 Å, 90.00 90.00 120.00°
Space group R-3m (No. 166, hexagonal axes)
Unique sites:
Pm (0.0000, 0.0000, 0.1780)
Dy (0.0000, 0.2935, 0.5000)
Dy (0.0000, 0.5000, 0.0000)
Dy (0.0079, 0.5040, 0.6383)
Sc (0.0000, 0.0000, 0.4087)

Simulated XRD peak list of Pm5DySc for Cu Kα (weighted mean of Kα1 and Kα2), from a DFT-relaxed cell (PBE, Alexandria).

Most intense lines, 10° ≤ 2θ ≤ 90°, by angle:
- hkl 2 0 0, 5.828 Å, 15.20°, intensity 72
- hkl 0 2 0, 4.376 Å, 20.29°, intensity 30
- hkl 2 2 -1, 3.012 Å, 29.66°, intensity 73
- hkl 2 2 1, 2.988 Å, 29.90°, intensity 72
- hkl 4 0 0, 2.914 Å, 30.68°, intensity 100
- hkl 4 2 0, 2.425 Å, 37.07°, intensity 25
- hkl 4 0 -2, 2.076 Å, 43.60°, intensity 19
- hkl 4 4 0, 1.750 Å, 52.28°, intensity 22
- hkl 6 2 -1, 1.705 Å, 53.77°, intensity 28
- hkl 6 2 1, 1.692 Å, 54.21°, intensity 27

Crystal structure
Cell: 11.6574 8.7526 5.8281 Å, 90.00 90.86 90.00°
Space group C2/m (No. 12)
Unique sites:
Pm (0.0000, 0.0000, 0.0000)
Pm (0.0000, 0.3105, 0.5000)
Pm (0.2490, 0.0000, 0.5117)
Dy (0.0000, 0.5000, 0.0000)
Sc (0.0000, 0.0000, 0.5000)

Simulated XRD peak list of Pm2Dy2Sc5 for Cu Kα (weighted mean of Kα1 and Kα2), from a DFT-relaxed cell (PBE, Alexandria).

Most intense lines, 10° ≤ 2θ ≤ 90°, by angle:
- hkl 1 1 0, 6.792 Å, 13.03°, intensity 58
- hkl 0 1 1, 6.564 Å, 13.49°, intensity 39
- hkl 2 0 2, 3.912 Å, 22.73°, intensity 45
- hkl 0 1 3, 3.250 Å, 27.44°, intensity 54
- hkl 3 1 2, 2.928 Å, 30.53°, intensity 89
- hkl 2 2 2, 2.858 Å, 31.30°, intensity 37
- hkl 3 2 1, 2.746 Å, 32.61°, intensity 86
- hkl 1 3 0, 2.713 Å, 33.02°, intensity 49
- hkl 4 1 1, 2.657 Å, 33.73°, intensity 100
- hkl 1 2 3, 2.627 Å, 34.13°, intensity 80

Crystal structure
Cell: 11.6223 8.3704 10.5801 Å, 90.00 90.00 90.00°
Space group Ima2 (No. 46)
Unique sites:
Pm (0.1033, 0.1204, 0.0000)
Dy (0.0000, 0.0000, 0.4358)
Dy (0.2500, 0.1088, 0.3090)
Sc (0.0993, 0.6971, 0.7046)
Sc (0.1259, 0.0620, 0.6946)
Sc (0.2500, 0.7409, 0.9612)

Simulated XRD peak list of Pm11Dy4Sc9 for Cu Kα (weighted mean of Kα1 and Kα2), from a DFT-relaxed cell (PBE, Alexandria).

Most intense lines, 10° ≤ 2θ ≤ 90°, by angle:
- hkl 4 0 0, 4.931 Å, 17.99°, intensity 13
- hkl 1 1 1, 3.403 Å, 26.19°, intensity 11
- hkl 4 0 1, 2.856 Å, 31.32°, intensity 97
- hkl 4 6 0, 2.846 Å, 31.43°, intensity 100
- hkl 0 6 1, 2.469 Å, 36.38°, intensity 96
- hkl 0 0 2, 1.752 Å, 52.22°, intensity 13
- hkl 0 12 0, 1.745 Å, 52.45°, intensity 46
- hkl 4 6 2, 1.492 Å, 62.24°, intensity 28
- hkl 4 12 1, 1.488 Å, 62.43°, intensity 38
- hkl 8 0 2, 1.428 Å, 65.37°, intensity 14

Crystal structure
Cell: 19.7228 20.9157 3.5031 Å, 90.00 90.00 90.00°
Space group Cmmm (No. 65)
Unique sites:
Pm (0.0000, 0.0000, 0.0000)
Pm (0.0000, 0.1733, 0.0000)
Pm (0.0000, 0.3448, 0.0000)
Pm (0.2297, 0.0000, 0.0000)
Pm (0.2433, 0.1683, 0.0000)
Dy (0.1381, 0.4180, 0.5000)
Sc (0.0000, 0.5000, 0.5000)
Sc (0.1165, 0.0895, 0.5000)
Sc (0.1236, 0.2562, 0.5000)

Simulated XRD peak list of Pm6Dy5Sc for Cu Kα (weighted mean of Kα1 and Kα2), from a DFT-relaxed cell (PBE, Alexandria).

Most intense lines, 10° ≤ 2θ ≤ 90°, by angle:
- hkl 1 2 3, 2.917 Å, 30.65°, intensity 100
- hkl 2 0 0, 2.535 Å, 35.40°, intensity 34
- hkl 0 4 0, 2.508 Å, 35.80°, intensity 16
- hkl 2 0 6, 1.793 Å, 50.94°, intensity 12
- hkl 2 4 0, 1.783 Å, 51.23°, intensity 24
- hkl 3 2 3, 1.527 Å, 60.63°, intensity 29
- hkl 1 6 3, 1.515 Å, 61.16°, intensity 14
- hkl 2 4 6, 1.459 Å, 63.82°, intensity 12
- hkl 3 2 9, 1.163 Å, 83.07°, intensity 6
- hkl 3 6 3, 1.157 Å, 83.53°, intensity 12

Crystal structure
Cell: 5.0738 10.0328 15.2034 Å, 90.00 90.00 90.00°
Space group Immm (No. 71)
Unique sites:
Pm (0.0000, 0.2459, 0.0000)
Pm (0.0000, 0.2523, 0.3344)
Dy (0.0000, 0.0000, 0.1652)
Dy (0.0000, 0.0000, 0.5000)
Dy (0.0000, 0.5000, 0.1660)
Sc (0.0000, 0.5000, 0.5000)

Simulated XRD peak list of PmDy12Sc7 for Cu Kα (weighted mean of Kα1 and Kα2), from a DFT-relaxed cell (PBE, Alexandria).

Most intense lines, 10° ≤ 2θ ≤ 90°, by angle:
- hkl 1 3 1, 3.487 Å, 25.54°, intensity 100
- hkl 3 2 1, 2.976 Å, 30.03°, intensity 28
- hkl 3 1 2, 2.780 Å, 32.20°, intensity 80
- hkl 3 3 0, 2.691 Å, 33.30°, intensity 97
- hkl 0 0 3, 2.659 Å, 33.71°, intensity 45
- hkl 0 4 2, 2.628 Å, 34.11°, intensity 34
- hkl 2 3 2, 2.499 Å, 35.93°, intensity 35
- hkl 7 0 1, 1.937 Å, 46.90°, intensity 34
- hkl 3 3 3, 1.891 Å, 48.12°, intensity 44
- hkl 0 7 2, 1.786 Å, 51.15°, intensity 34

Crystal structure
Cell: 16.1433 16.1433 7.9757 Å, 90.00 90.00 120.00°
Space group R-3m (No. 166, hexagonal axes)
Unique sites:
Pm (0.0000, 0.0000, 0.0000)
Dy (0.0000, 0.2832, 0.0000)
Dy (0.1104, 0.2207, 0.3089)
Sc (0.0000, 0.0000, 0.5000)
Sc (0.1092, 0.5546, 0.3940)

Simulated XRD peak list of Pm5Dy3Sc2 for Cu Kα (weighted mean of Kα1 and Kα2), from a DFT-relaxed cell (PBE, Alexandria).

Most intense lines, 10° ≤ 2θ ≤ 90°, by angle:
- hkl 1 -2 0, 4.476 Å, 19.84°, intensity 14
- hkl 0 2 1, 2.894 Å, 30.90°, intensity 100
- hkl 3 -1 0, 2.885 Å, 31.00°, intensity 97
- hkl 2 2 -2, 2.509 Å, 35.79°, intensity 33
- hkl 1 -1 3, 2.499 Å, 35.94°, intensity 66
- hkl 3 1 1, 1.771 Å, 51.62°, intensity 58
- hkl 5 1 -2, 1.512 Å, 61.31°, intensity 28
- hkl 1 1 4, 1.509 Å, 61.43°, intensity 27
- hkl 4 -2 3, 1.506 Å, 61.60°, intensity 27
- hkl 0 4 2, 1.447 Å, 64.39°, intensity 12

Crystal structure
Cell: 9.3524 9.3543 9.3669 Å, 106.53 106.85 115.10°
Space group P-1 (No. 2)
Unique sites:
Pm (0.0217, 0.0748, 0.3455)
Pm (0.1295, 0.3794, 0.7510)
Pm (0.2285, 0.6768, 0.1543)
Pm (0.3784, 0.1272, 0.2488)
Pm (0.4740, 0.4280, 0.6526)
Dy (0.0771, 0.2282, 0.0529)
Dy (0.2760, 0.8220, 0.8482)
Dy (0.3232, 0.9732, 0.5530)
Sc (0.1689, 0.5235, 0.4503)
Sc (0.4257, 0.2760, 0.9491)

Repeat the eleventh record exactly.
Simulated XRD peak list of Pm5Dy3Sc2 for Cu Kα (weighted mean of Kα1 and Kα2), from a DFT-relaxed cell (PBE, Alexandria).

Most intense lines, 10° ≤ 2θ ≤ 90°, by angle:
- hkl 1 -2 0, 4.476 Å, 19.84°, intensity 14
- hkl 0 2 1, 2.894 Å, 30.90°, intensity 100
- hkl 3 -1 0, 2.885 Å, 31.00°, intensity 97
- hkl 2 2 -2, 2.509 Å, 35.79°, intensity 33
- hkl 1 -1 3, 2.499 Å, 35.94°, intensity 66
- hkl 3 1 1, 1.771 Å, 51.62°, intensity 58
- hkl 5 1 -2, 1.512 Å, 61.31°, intensity 28
- hkl 1 1 4, 1.509 Å, 61.43°, intensity 27
- hkl 4 -2 3, 1.506 Å, 61.60°, intensity 27
- hkl 0 4 2, 1.447 Å, 64.39°, intensity 12

Crystal structure
Cell: 9.3524 9.3543 9.3669 Å, 106.53 106.85 115.10°
Space group P-1 (No. 2)
Unique sites:
Pm (0.0217, 0.0748, 0.3455)
Pm (0.1295, 0.3794, 0.7510)
Pm (0.2285, 0.6768, 0.1543)
Pm (0.3784, 0.1272, 0.2488)
Pm (0.4740, 0.4280, 0.6526)
Dy (0.0771, 0.2282, 0.0529)
Dy (0.2760, 0.8220, 0.8482)
Dy (0.3232, 0.9732, 0.5530)
Sc (0.1689, 0.5235, 0.4503)
Sc (0.4257, 0.2760, 0.9491)